This entry pairs a crystal structure of PuP2H4CO7 with its computed powder diffractogram. Radiation: CuKα. Structure: a PBE-relaxed structure.
No peak broadening, texture or thermal motion is included.

Cell and atoms:
```
data_PuP2H4CO7
_chemical_formula_sum 'Pu4 P8 H16 C4 O28'
_cell_length_a 8.8472
_cell_length_b 8.8695
_cell_length_c 9.7531
_cell_angle_alpha 71.11
_cell_angle_beta 71.74
_cell_angle_gamma 81.70
_space_group_name_H-M_alt 'P 1'
_space_group_IT_number 1
loop_
_space_group_symop_operation_xyz
'x,y,z'
loop_
_atom_site_label
_atom_site_fract_x
_atom_site_fract_y
_atom_site_fract_z
_atom_site_occupancy
Pu1 0.1728 0.4243 0.2218 1
Pu2 0.3130 0.0528 0.7800 1
Pu3 0.6870 0.9472 0.2200 1
Pu4 0.8272 0.5757 0.7782 1
P1 0.0190 0.7696 0.3706 1
P2 0.2287 0.4619 0.8299 1
P3 0.2751 0.0223 0.1847 1
P4 0.4805 0.7291 0.6160 1
P5 0.5195 0.2709 0.3840 1
P6 0.7249 0.9777 0.8153 1
P7 0.7713 0.5381 0.1701 1
P8 0.9810 0.2304 0.6294 1
H1 0.0374 0.8123 0.8907 1
H2 0.0689 0.8077 0.0438 1
H3 0.1545 0.9272 0.4511 1
H4 0.2818 0.7807 0.3787 1
H5 0.3031 0.5849 0.5673 1
H6 0.3685 0.7451 0.0811 1
H7 0.4597 0.4615 0.6275 1
H8 0.4981 0.3971 0.9186 1
H9 0.5019 0.6029 0.0814 1
H10 0.5403 0.5385 0.3725 1
H11 0.6315 0.2549 0.9189 1
H12 0.6969 0.4151 0.4327 1
H13 0.7182 0.2193 0.6213 1
H14 0.8455 0.0728 0.5489 1
H15 0.9311 0.1923 0.9562 1
H16 0.9626 0.1877 0.1093 1
C1 0.1866 0.8720 0.3593 1
C2 0.3702 0.5562 0.6510 1
C3 0.6298 0.4438 0.3490 1
C4 0.8134 0.1280 0.6407 1
O1 0.0390 0.3292 0.4615 1
O2 0.0636 0.5463 0.8289 1
O3 0.0781 0.6637 0.2648 1
O4 0.1062 0.8488 0.9337 1
O5 0.1091 0.1059 0.6773 1
O6 0.1792 0.1812 0.1942 1
O7 0.2325 0.2860 0.8327 1
O8 0.2699 0.9731 0.0499 1
O9 0.2832 0.4752 0.9614 1
O10 0.3639 0.8561 0.6733 1
O11 0.3865 0.3248 0.3059 1
O12 0.3911 0.6321 0.1307 1
O13 0.4483 0.0289 0.1865 1
O14 0.4508 0.2130 0.5584 1
O15 0.5492 0.7870 0.4416 1
O16 0.5517 0.9711 0.8135 1
O17 0.6089 0.3679 0.8693 1
O18 0.6135 0.6752 0.6941 1
O19 0.6361 0.1439 0.3267 1
O20 0.7168 0.5248 0.0386 1
O21 0.7301 0.0269 0.9501 1
O22 0.7675 0.7140 0.1673 1
O23 0.8208 0.8188 0.8058 1
O24 0.8909 0.8941 0.3227 1
O25 0.8938 0.1512 0.0663 1
O26 0.9219 0.3363 0.7352 1
O27 0.9364 0.4537 0.1711 1
O28 0.9610 0.6708 0.5385 1
```

Largest 6 diffraction maxima, in order of rising 2θ, 5° ≤ 2θ ≤ 70°:
| (hkl) | two_theta | intensity |
| --- | --- | --- |
| 1 1 0 | 14.57 | 57 |
| 0 0 2 | 20.08 | 54 |
| 2 0 1 | 20.64 | 100 |
| 0 2 0 | 21.19 | 34 |
| 2 -2 0 | 30.88 | 39 |
| 1 3 0 | 33.31 | 37 |